Structure and theoretical powder X-ray diffraction pattern of CdH6C8I2Br2N4 (a GGA-PBE-relaxed structure; Cu Kα).

Principal peaks in the range 2θ = 10–90°, by intensity:
2θ (°), I_rel, (hkl)
26.03, 100, 1 2 1
10.35, 87, 0 2 0
17.72, 74, 0 3 1
34.23, 45, 1 1 -3
27.59, 43, 0 2 3
27.16, 35, 1 3 0
32.04, 30, 1 3 -2
16.92, 29, 0 0 2
19.88, 25, 0 2 2
27.45, 25, 0 5 1

Structural model:
Unit cell a=4.0174 b=17.0913 c=10.4781 alpha=90.00 beta=90.66 gamma=90.00
Space group P2_1/c (No. 14)
Asymmetric unit:
Cd (0.0000, 0.0000, 0.0000)
H (0.2001, 0.0238, 0.7025)
H (0.2150, 0.6855, 0.5484)
H (0.2686, 0.7171, 0.2303)
C (0.0729, 0.1376, 0.6196)
C (0.0963, 0.0820, 0.7172)
C (0.1359, 0.6713, 0.6451)
C (0.1617, 0.7250, 0.7450)
I (0.2488, 0.1092, 0.4360)
Br (0.4996, 0.0812, 0.1304)
N (0.0096, 0.5995, 0.6652)
N (0.0579, 0.7081, 0.8632)